For Rb2La10Co2I17, a cell relaxed with PBE gives the computed X-ray powder pattern in this record (Cu Kα, 1.54184 Å).
Lines closer than 0.1° are merged.

abc: 11.8999 11.8999 10.0055
angles: 93.25 93.25 108.04
Atoms (fractional coordinates):
Rb 0.1749 0.8251 0.0000
Rb 0.8251 0.1749 0.0000
La 0.1710 0.1710 0.4423
La 0.2063 0.5073 0.5727
La 0.2957 0.2957 0.8121
La 0.4385 0.4385 0.3324
La 0.4927 0.7937 0.4273
La 0.5073 0.2063 0.5727
La 0.5615 0.5615 0.6676
La 0.7043 0.7043 0.1879
La 0.7937 0.4927 0.4273
La 0.8290 0.8290 0.5577
Co 0.3551 0.3551 0.5709
Co 0.6449 0.6449 0.4291
I 0.0281 0.6895 0.5804
I 0.0621 0.0621 0.7189
I 0.1146 0.4490 0.8634
I 0.2125 0.2125 0.1296
I 0.2531 0.6010 0.2724
I 0.3105 0.9719 0.4196
I 0.3990 0.7469 0.7276
I 0.4490 0.1146 0.8634
I 0.5000 0.5000 0.0000
I 0.5510 0.8854 0.1366
I 0.6010 0.2531 0.2724
I 0.6895 0.0281 0.5804
I 0.7469 0.3990 0.7276
I 0.7875 0.7875 0.8704
I 0.8854 0.5510 0.1366
I 0.9379 0.9379 0.2811
I 0.9719 0.3105 0.4196

Top 6 peaks for 15° ≤ 2θ ≤ 90°, by intensity:
Position (°2θ), I/Imax
28.6, 100.0
28.0, 98.7
27.8, 94.6
39.8, 66.1
40.3, 60.8
50.5, 32.2

---

For CaIr2, a cell relaxed with PBE gives the computed X-ray powder pattern in this record (Cu Kα, 1.54184 Å).
Lines closer than 0.1° are merged.

abc: 5.3690 5.3690 5.3690
angles: 60.00 60.00 60.00
Atoms (fractional coordinates):
Ca 0.1250 0.1250 0.1250
Ca 0.8750 0.8750 0.8750
Ir 0.0000 0.5000 0.5000
Ir 0.5000 0.0000 0.5000
Ir 0.5000 0.5000 0.0000
Ir 0.5000 0.5000 0.5000

Top 6 peaks for 15° ≤ 2θ ≤ 90°, by intensity:
Position (°2θ), I/Imax
39.4, 100.0
20.3, 92.8
41.2, 88.1
84.7, 34.6
47.9, 34.3
70.1, 33.8

---

For Zr2InNi2, a cell relaxed with PBE gives the computed X-ray powder pattern in this record (Cu Kα, 1.54184 Å).
Lines closer than 0.1° are merged.

abc: 7.2167 7.2167 3.3508
angles: 90.00 90.00 90.00
Atoms (fractional coordinates):
Zr 0.1678 0.3322 0.0000
Zr 0.3322 0.8322 0.0000
Zr 0.6678 0.1678 0.0000
Zr 0.8322 0.6678 0.0000
In 0.0000 0.0000 0.5000
In 0.5000 0.5000 0.5000
Ni 0.1248 0.6248 0.5000
Ni 0.3752 0.1248 0.5000
Ni 0.6248 0.8752 0.5000
Ni 0.8752 0.3752 0.5000

Top 6 peaks for 15° ≤ 2θ ≤ 90°, by intensity:
Position (°2θ), I/Imax
38.7, 100.0
39.5, 66.5
36.6, 49.7
69.6, 23.3
35.2, 16.9
54.8, 15.4

---

For NaZn4H6SClO16, a cell relaxed with PBE gives the computed X-ray powder pattern in this record (Cu Kα, 1.54184 Å).
Lines closer than 0.1° are merged.

abc: 8.3894 8.4699 12.3787
angles: 89.57 89.72 61.57
Atoms (fractional coordinates):
Na 0.1731 0.2019 0.0274
Na 0.8269 0.7981 0.9726
Zn 0.0816 0.7852 0.4970
Zn 0.2149 0.3692 0.5062
Zn 0.3711 0.9133 0.5048
Zn 0.4968 0.5036 0.3594
Zn 0.5032 0.4964 0.6406
Zn 0.6289 0.0867 0.4952
Zn 0.7851 0.6308 0.4938
Zn 0.9184 0.2148 0.5030
H 0.0311 0.5987 0.3447
H 0.1212 0.9760 0.6534
H 0.1825 0.5823 0.6656
H 0.2647 0.8181 0.3346
H 0.4047 0.1154 0.6558
H 0.4124 0.2661 0.3354
H 0.5876 0.7339 0.6646
H 0.5953 0.8846 0.3442
H 0.7353 0.1819 0.6654
H 0.8175 0.4177 0.3344
H 0.8788 0.0240 0.3466
H 0.9689 0.4013 0.6553
S 0.1574 0.1714 0.2673
S 0.8426 0.8286 0.7327
Cl 0.4856 0.5097 0.1806
Cl 0.5144 0.4903 0.8194
O 0.0075 0.2773 0.8323
O 0.0092 0.6680 0.7722
O 0.0233 0.6024 0.4233
O 0.1255 0.9775 0.5748
O 0.1518 0.1558 0.7833
O 0.1570 0.0049 0.2312
O 0.1613 0.1727 0.3909
O 0.2223 0.7040 0.9896
O 0.2519 0.5579 0.5969
O 0.3050 0.0892 0.8372
O 0.3095 0.7502 0.4033
O 0.3118 0.7945 0.9913
O 0.3192 0.1792 0.2242
O 0.3966 0.1232 0.5773
O 0.4395 0.3086 0.4038
O 0.4860 0.7006 0.9958
O 0.5140 0.2994 0.0042
O 0.5605 0.6914 0.5962
O 0.6034 0.8768 0.4227
O 0.6808 0.8208 0.7758
O 0.6882 0.2055 0.0087
O 0.6905 0.2498 0.5967
O 0.6950 0.9108 0.1628
O 0.7481 0.4421 0.4031
O 0.7777 0.2960 0.0104
O 0.8387 0.8273 0.6091
O 0.8430 0.9951 0.7688
O 0.8482 0.8442 0.2167
O 0.8745 0.0225 0.4252
O 0.9767 0.3976 0.5767
O 0.9908 0.3320 0.2278
O 0.9925 0.7227 0.1677

Top 6 peaks for 15° ≤ 2θ ≤ 90°, by intensity:
Position (°2θ), I/Imax
32.5, 100.0
33.3, 86.4
24.7, 67.5
31.4, 64.2
25.2, 60.7
25.6, 49.2

---

For Na2MgSb2, a cell relaxed with PBE gives the computed X-ray powder pattern in this record (Cu Kα, 1.54184 Å).
Lines closer than 0.1° are merged.

abc: 6.4305 6.4305 14.9435
angles: 90.00 90.00 90.00
Atoms (fractional coordinates):
Na 0.0000 0.0000 0.1205
Na 0.0000 0.0000 0.8795
Mg 0.0000 0.0000 0.5000
Sb 0.0000 0.0000 0.3199
Sb 0.0000 0.0000 0.6801

Top 6 peaks for 15° ≤ 2θ ≤ 90°, by intensity:
Position (°2θ), I/Imax
19.5, 100.0
31.1, 62.2
22.6, 43.0
27.7, 41.9
43.7, 40.1
18.2, 36.2